(1)
Simulated XRD peak list
Compound: Rb5ReO5
Radiation: Cu Kα (λ = 1.5418 Å)
Structure: a structure optimized by DFT (PBE)
Peak positions follow from Bragg's law for the DFT cell and can differ from measured ones.

Structural model:
a b c (Å): 11.508 6.432 8.694
angles (deg): 90.00 93.78 90.00
Space group C2 (No. 5)
One atom of each set of equivalent atoms:
Rb 0.000 0.000 0.000 x2
Rb 0.150 0.524 0.750 x4
Rb 0.187 0.505 0.343 x4
Re 0.000 0.061 0.500 x2
O 0.000 0.349 0.500 x2
O 0.065 0.923 0.669 x4
O 0.147 0.068 0.410 x4

Largest 10 diffraction maxima, sorted by position, 2θ from 10° to 90°:
hkl  d_spacing  I_rel
0 0 1  8.675  100
1 1 -2  3.487  96
1 1 2  3.380  23
2 0 2  3.356  41
3 1 0  3.289  99
0 2 0  3.216  58
3 1 1  3.018  27
4 0 -2  2.470  28
2 2 2  2.322  29
2 2 3  1.984  23

---

(2)
Simulated XRD peak list
Compound: Rb2Sr2ReO6
Radiation: Cu Kα (λ = 1.5418 Å)
Structure: a structure optimized by DFT (PBE)
Peak positions follow from Bragg's law for the DFT cell and can differ from measured ones.

Structural model:
a b c (Å): 6.183 10.385 6.838
angles (deg): 90.00 105.78 90.00
Space group C2/m (No. 12)
One atom of each set of equivalent atoms:
Rb 0.000 0.165 0.000 x4
Sr 0.000 0.337 0.500 x4
Re 0.000 0.000 0.500 x2
O 0.184 0.136 0.666 x8
O 0.210 0.000 0.327 x4

Largest 10 diffraction maxima, sorted by position, 2θ from 10° to 90°:
hkl  d_spacing  I_rel
0 0 1  6.581  78
1 1 0  5.163  69
0 2 1  4.076  35
0 0 2  3.290  61
2 0 0  2.975  42
1 3 -1  2.876  75
1 3 1  2.593  100
2 0 -2  2.584  50
1 3 -3  1.897  33
3 3 -1  1.770  29

---

(3)
Simulated XRD peak list
Compound: RbTaReO6
Radiation: Cu Kα (λ = 1.5418 Å)
Structure: a structure optimized by DFT (PBE)
Peak positions follow from Bragg's law for the DFT cell and can differ from measured ones.

Structural model:
a b c (Å): 7.323 7.426 10.453
angles (deg): 90.00 90.00 90.00
Space group Imma (No. 74)
One atom of each set of equivalent atoms:
Rb 0.000 0.250 0.124 x4
Ta 0.000 0.000 0.500 x4
Re 0.250 0.250 0.750 x4
O 0.000 0.250 0.435 x4
O 0.000 0.250 0.801 x4
O 0.196 0.068 0.625 x16

Largest 10 diffraction maxima, sorted by position, 2θ from 10° to 90°:
hkl  d_spacing  I_rel
0 1 1  6.054  47
1 0 1  5.998  41
0 1 3  3.154  100
2 1 1  3.133  52
0 2 2  3.027  49
2 0 2  2.999  48
0 1 5  2.012  20
3 0 3  2.001  20
2 2 4  1.846  41
0 2 6  1.578  22

---

What is the formula in the third record?
RbTaReO6

---

Please write out number 3 again, unchanged.
Simulated XRD peak list
Compound: RbTaReO6
Radiation: Cu Kα (λ = 1.5418 Å)
Structure: a structure optimized by DFT (PBE)
Peak positions follow from Bragg's law for the DFT cell and can differ from measured ones.

Structural model:
a b c (Å): 7.323 7.426 10.453
angles (deg): 90.00 90.00 90.00
Space group Imma (No. 74)
One atom of each set of equivalent atoms:
Rb 0.000 0.250 0.124 x4
Ta 0.000 0.000 0.500 x4
Re 0.250 0.250 0.750 x4
O 0.000 0.250 0.435 x4
O 0.000 0.250 0.801 x4
O 0.196 0.068 0.625 x16

Largest 10 diffraction maxima, sorted by position, 2θ from 10° to 90°:
hkl  d_spacing  I_rel
0 1 1  6.054  47
1 0 1  5.998  41
0 1 3  3.154  100
2 1 1  3.133  52
0 2 2  3.027  49
2 0 2  2.999  48
0 1 5  2.012  20
3 0 3  2.001  20
2 2 4  1.846  41
0 2 6  1.578  22

---

What did the first record say?
Simulated XRD peak list
Compound: Rb5ReO5
Radiation: Cu Kα (λ = 1.5418 Å)
Structure: a structure optimized by DFT (PBE)
Peak positions follow from Bragg's law for the DFT cell and can differ from measured ones.

Structural model:
a b c (Å): 11.508 6.432 8.694
angles (deg): 90.00 93.78 90.00
Space group C2 (No. 5)
One atom of each set of equivalent atoms:
Rb 0.000 0.000 0.000 x2
Rb 0.150 0.524 0.750 x4
Rb 0.187 0.505 0.343 x4
Re 0.000 0.061 0.500 x2
O 0.000 0.349 0.500 x2
O 0.065 0.923 0.669 x4
O 0.147 0.068 0.410 x4

Largest 10 diffraction maxima, sorted by position, 2θ from 10° to 90°:
hkl  d_spacing  I_rel
0 0 1  8.675  100
1 1 -2  3.487  96
1 1 2  3.380  23
2 0 2  3.356  41
3 1 0  3.289  99
0 2 0  3.216  58
3 1 1  3.018  27
4 0 -2  2.470  28
2 2 2  2.322  29
2 2 3  1.984  23